1.
Starting from a DFT-relaxed cell (PBE, Alexandria), the powder X-ray diffraction pattern of LaPmNi17 was calculated for Cu Ka.

Main lines, low angle first (10 to 90 degrees two-theta):
d 2.911, I = 32, hkl 1 1 3; d 2.418, I = 39, hkl 3 0 0; d 2.329, I = 29, hkl 0 2 4; d 2.094, I = 66, hkl 2 2 0; d 2.076, I = 100, hkl 3 0 3; d 2.025, I = 34, hkl 0 0 6; d 1.860, I = 29, hkl 2 2 3; d 1.456, I = 17, hkl 2 2 6; d 1.209, I = 17, hkl 6 0 0; d 1.179, I = 18, hkl 3 0 9

Cell and atoms:
Unit cell a=8.3761 b=8.3761 c=12.1503 alpha=90.00 beta=90.00 gamma=120.00
Space group R3m (No. 160, hexagonal axes)
Asymmetric unit:
La (0.0000, 0.0000, 0.0000) (multiplicity 3)
Pm (0.0000, 0.0000, 0.3188) (multiplicity 3)
Ni (0.0000, 0.0000, 0.5597) (multiplicity 3)
Ni (0.0000, 0.0000, 0.7563) (multiplicity 3)
Ni (0.9996, 0.2887, 0.6582) (multiplicity 18)
Ni (0.0011, 0.5006, 0.1579) (multiplicity 9)
Ni (0.0030, 0.5015, 0.5037) (multiplicity 9)
Ni (0.1686, 0.3371, 0.1472) (multiplicity 9)


2.
Starting from a DFT-relaxed cell (PBE, Alexandria), the powder X-ray diffraction pattern of BaVBr3 was calculated for Cu Ka.

Main lines, low angle first (10 to 90 degrees two-theta):
d 3.754, I = 24, hkl 1 1 0; d 3.065, I = 100, hkl 1 1 1; d 2.654, I = 87, hkl 2 0 0; d 2.167, I = 10, hkl 2 1 1; d 1.877, I = 60, hkl 2 2 0; d 1.601, I = 43, hkl 3 1 1; d 1.532, I = 21, hkl 2 2 2; d 1.327, I = 10, hkl 4 0 0; d 1.218, I = 18, hkl 3 3 1; d 1.187, I = 27, hkl 4 2 0

Cell and atoms:
Unit cell a=5.309 b=5.309 c=5.309 alpha=90.00 beta=90.00 gamma=90.00
Space group Pm-3m (No. 221)
Asymmetric unit:
Ba (0.000, 0.000, 0.000) (multiplicity 1)
V (0.500, 0.500, 0.500) (multiplicity 1)
Br (0.000, 0.500, 0.500) (multiplicity 3)


3.
Starting from a DFT-relaxed cell (PBE, Alexandria), the powder X-ray diffraction pattern of GdDyCu was calculated for Cu Ka.

Main lines, low angle first (10 to 90 degrees two-theta):
d 3.373, I = 27, hkl 1 0 1; d 3.058, I = 15, hkl 0 0 4; d 2.660, I = 100, hkl 1 0 3; d 2.481, I = 51, hkl 1 1 0; d 2.007, I = 10, hkl 1 0 5; d 1.927, I = 17, hkl 1 1 4; d 1.754, I = 18, hkl 2 0 0; d 1.575, I = 9, hkl 1 1 6; d 1.564, I = 11, hkl 1 0 7; d 1.465, I = 31, hkl 2 1 3

Cell and atoms:
Unit cell a=3.509 b=3.509 c=12.233 alpha=90.00 beta=90.00 gamma=90.00
Space group I4mm (No. 107)
Asymmetric unit:
Gd (0.000, 0.000, 0.000) (multiplicity 2)
Dy (0.000, 0.000, 0.280) (multiplicity 2)
Cu (0.000, 0.000, 0.647) (multiplicity 2)


4.
Starting from a DFT-relaxed cell (PBE, Alexandria), the powder X-ray diffraction pattern of Sm4SnAu7 was calculated for Cu Ka.

Main lines, low angle first (10 to 90 degrees two-theta):
d 2.870, I = 27, hkl 4 0 -3; d 2.618, I = 100, hkl 3 1 1; d 2.592, I = 74, hkl 0 2 0; d 2.504, I = 26, hkl 1 1 -3; d 2.479, I = 23, hkl 5 1 -1; d 2.425, I = 22, hkl 6 0 -2; d 1.945, I = 15, hkl 0 0 4; d 1.923, I = 25, hkl 4 2 -3; d 1.771, I = 19, hkl 6 2 -2; d 1.502, I = 18, hkl 3 3 1

Cell and atoms:
Unit cell a=14.551 b=5.185 c=9.169 alpha=90.00 beta=122.00 gamma=90.00
Space group C2/m (No. 12)
Asymmetric unit:
Sm (0.057, 0.000, 0.236) (multiplicity 4)
Sm (0.236, 0.000, 0.754) (multiplicity 4)
Sn (0.000, 0.500, 0.500) (multiplicity 2)
Au (0.000, 0.000, 0.500) (multiplicity 2)
Au (0.084, 0.500, 0.868) (multiplicity 4)
Au (0.183, 0.000, 0.055) (multiplicity 4)
Au (0.200, 0.500, 0.508) (multiplicity 4)


5.
Starting from a DFT-relaxed cell (PBE, Alexandria), the powder X-ray diffraction pattern of Na2CoCl5 was calculated for Cu Ka.

Main lines, low angle first (10 to 90 degrees two-theta):
d 6.341, I = 100, hkl 0 1 0; d 5.396, I = 44, hkl 1 1 0; d 5.254, I = 59, hkl 1 0 0; d 3.491, I = 36, hkl 1 1 -1; d 2.932, I = 16, hkl 2 1 0; d 2.817, I = 12, hkl 1 2 -1; d 2.637, I = 25, hkl 1 2 2; d 2.335, I = 15, hkl 0 2 -2; d 2.293, I = 12, hkl 2 -1 1; d 2.287, I = 19, hkl 2 1 -1

Cell and atoms:
Unit cell a=6.610 b=7.162 c=7.163 alpha=81.41 beta=62.53 gamma=62.72
Space group P1 (No. 1)
Asymmetric unit:
Na (0.000, 0.000, 0.000) (multiplicity 1)
Na (0.001, 0.447, 0.553) (multiplicity 1)
Co (0.748, 0.048, 0.602) (multiplicity 1)
Cl (0.327, 0.168, 0.721) (multiplicity 1)
Cl (0.672, 0.281, 0.835) (multiplicity 1)
Cl (0.823, 0.816, 0.370) (multiplicity 1)
Cl (0.948, 0.780, 0.753) (multiplicity 1)
Cl (0.951, 0.199, 0.333) (multiplicity 1)


6.
Starting from a DFT-relaxed cell (PBE, Alexandria), the powder X-ray diffraction pattern of Dy5Tm8Th was calculated for Cu Ka.

Main lines, low angle first (10 to 90 degrees two-theta):
d 3.912, I = 22, hkl 1 2 1; d 3.110, I = 80, hkl 1 0 3; d 3.023, I = 85, hkl 3 0 1; d 3.013, I = 87, hkl 1 3 0; d 2.782, I = 21, hkl 2 2 2; d 2.604, I = 100, hkl 2 1 3; d 2.571, I = 69, hkl 1 3 2; d 2.553, I = 69, hkl 3 2 1; d 1.547, I = 22, hkl 6 1 1; d 1.444, I = 24, hkl 1 3 6

Cell and atoms:
Unit cell a=9.528 b=9.528 c=9.870 alpha=90.00 beta=90.00 gamma=90.00
Space group I-4 (No. 82)
Asymmetric unit:
Dy (0.000, 0.000, 0.000) (multiplicity 2)
Dy (0.116, 0.785, 0.583) (multiplicity 8)
Tm (0.070, 0.673, 0.916) (multiplicity 8)
Tm (0.092, 0.830, 0.254) (multiplicity 8)
Th (0.000, 0.500, 0.250) (multiplicity 2)